Diffraction record for CdHAuCl. The XRD peak list is calculated, not measured: it uses a crystal structure in Alexandria, relaxed with GGA-PBE and Cu Kα X-rays.
Intensities are scaled so that the largest is 100.

Cell and atoms:
```
4
Lattice="5.9720 -1.8175 0.0000 5.9720 1.8175 0.0000 -0.0144 0.0000 3.9278" Properties=species:S:1:pos:R:3 pbc="T T T"
Cd 0.0000 0.0000 0.0000
H 4.2041 0.0000 1.9608
Au 10.0817 0.0000 1.9597
Cl 7.8284 0.0000 0.0101
```

Main lines, sorted by position (5° ≤ 2θ ≤ 70°):
| d (Å) | 2theta | I_rel |
| --- | --- | --- |
| 5.972 | 14.83 | 50 |
| 3.478 | 25.62 | 100 |
| 3.282 | 27.17 | 87 |
| 2.604 | 34.45 | 21 |
| 2.381 | 37.78 | 19 |
| 2.373 | 37.92 | 19 |
| 2.216 | 40.71 | 88 |
| 1.996 | 45.43 | 20 |
| 1.964 | 46.23 | 16 |
| 1.710 | 53.59 | 27 |
| 1.590 | 58.01 | 20 |
| 1.444 | 64.54 | 15 |